For Li3Fe4B4O12, the GGA+U geometry in the Materials Project gives the calculated powder diffractogram in this record (a wavelength of 1.5418 Å).

Structure:
Lattice parameters (Å, degrees): 5.2170 9.1264 11.4337 67.91 77.23 89.80
Space group P1 (No. 1)
One atom of each set of equivalent atoms:
Li: 0.0000 0.0000 0.0000
Li: 0.0214 0.0351 0.2533
Li: 0.3032 0.2812 0.7504
Li: 0.4966 0.4978 0.0005
Li: 0.5222 0.5313 0.2596
Li: 0.7602 0.7349 0.5155
Fe: 0.0233 0.3447 0.9707
Fe: 0.0512 0.7080 0.2287
Fe: 0.2683 0.9310 0.4790
Fe: 0.3045 0.6311 0.7249
Fe: 0.5214 0.8466 0.9655
Fe: 0.5404 0.2165 0.2211
Fe: 0.7735 0.4171 0.4757
Fe: 0.8220 0.1233 0.7129
B: 0.0180 0.6796 0.9720
B: 0.0576 0.3864 0.2151
B: 0.2706 0.6090 0.4623
B: 0.3146 0.9689 0.7252
B: 0.5148 0.1737 0.9702
B: 0.5565 0.8895 0.2128
B: 0.7688 0.0888 0.4657
B: 0.8058 0.4608 0.7194
O: 0.0203 0.6253 0.4359
O: 0.0448 0.4384 0.7584
O: 0.1364 0.7919 0.0048
O: 0.1706 0.5702 0.9388
O: 0.1848 0.0964 0.7305
O: 0.2366 0.8717 0.6677
O: 0.2604 0.1764 0.9547
O: 0.3286 0.4048 0.2000
O: 0.3672 0.7184 0.5070
O: 0.3859 0.9835 0.2610
O: 0.4260 0.4985 0.4421
O: 0.4477 0.7798 0.1725
O: 0.5320 0.1032 0.4269
O: 0.5362 0.9335 0.7776
O: 0.6204 0.2835 0.0078
O: 0.6689 0.0552 0.9484
O: 0.6868 0.5989 0.7062
O: 0.6909 0.3441 0.6899
O: 0.7524 0.6794 0.9748
O: 0.8228 0.9025 0.2028
O: 0.8561 0.1920 0.5115
O: 0.8949 0.4893 0.2537
O: 0.9160 0.9647 0.4534
O: 0.9510 0.2665 0.1870

Principal peaks in the range 10° ≤ 2θ ≤ 80°, in order of rising 2θ:
hkl, d/Å, two_theta, I (rel.)
1 -1 0, 4.525, 19.6, 77
0 2 2, 4.135, 21.5, 86
1 1 2, 4.118, 21.6, 39
1 1 -1, 3.439, 25.9, 34
0 2 3, 3.369, 26.5, 38
1 3 2, 2.631, 34.1, 27
-1 3 1, 2.623, 34.2, 33
2 0 1, 2.608, 34.4, 35
0 0 4, 2.573, 34.9, 100
0 4 1, 2.240, 40.3, 29


For LiCo4O8, the GGA+U geometry in the Materials Project gives the calculated powder diffractogram in this record (a wavelength of 1.5418 Å).

Structure:
Lattice parameters (Å, degrees): 5.6195 5.6368 10.5377 75.10 74.77 60.35
Space group P-1 (No. 2)
One atom of each set of equivalent atoms:
Li: 0.2468 0.2503 0.2504
Co: 0.0000 0.0000 0.0000
Co: 0.0000 0.0000 0.5000
Co: 0.0000 0.5000 0.0000
Co: 0.0000 0.5000 0.5000
Co: 0.5000 0.0000 0.0000
Co: 0.5000 0.0000 0.5000
Co: 0.5000 0.5000 0.0000
Co: 0.5000 0.5000 0.5000
O: 0.1331 0.1382 0.0972
O: 0.1334 0.6324 0.0975
O: 0.1339 0.6396 0.5963
O: 0.1373 0.1331 0.5938
O: 0.3636 0.3666 0.9053
O: 0.3651 0.8661 0.4023
O: 0.3659 0.8602 0.9037
O: 0.3682 0.3606 0.4037

Principal peaks in the range 10° ≤ 2θ ≤ 80°, in order of rising 2θ:
hkl, d/Å, two_theta, I (rel.)
0 0 2, 5.025, 17.7, 100
0 2 0, 2.421, 37.1, 9
2 0 0, 2.410, 37.3, 9
2 2 2, 2.399, 37.5, 9
2 2 0, 2.322, 38.8, 7
0 2 -2, 2.062, 43.9, 14
2 0 -2, 2.048, 44.2, 13
2 2 4, 2.037, 44.5, 13
0 2 -4, 1.625, 56.7, 5
2 0 -4, 1.614, 57.1, 5


For KMo8O12, the GGA+U geometry in the Materials Project gives the calculated powder diffractogram in this record (a wavelength of 1.5418 Å).

Structure:
Lattice parameters (Å, degrees): 10.2485 3.3089 10.2601 90.00 90.27 90.00
Space group P2 (No. 3)
One atom of each set of equivalent atoms:
K: 0.0000 0.0000 0.0000
Mo: 0.1063 0.9012 0.6353
Mo: 0.1638 0.4052 0.3662
Mo: 0.3408 0.4041 0.8612
Mo: 0.3834 0.9022 0.1272
O: 0.0067 0.4013 0.7287
O: 0.2074 0.4013 0.5523
O: 0.2371 0.9035 0.8000
O: 0.2499 0.9034 0.2867
O: 0.2740 0.4022 0.0437
O: 0.4844 0.4023 0.2115

Principal peaks in the range 10° ≤ 2θ ≤ 80°, in order of rising 2θ:
hkl, d/Å, two_theta, I (rel.)
1 0 1, 7.251, 12.2, 100
1 0 -3, 3.245, 27.5, 45
3 0 1, 3.237, 27.6, 16
2 1 1, 2.683, 33.4, 92
0 0 4, 2.564, 35.0, 20
3 1 -2, 2.159, 41.8, 16
2 1 3, 2.154, 41.9, 16
0 2 0, 1.653, 55.6, 23
2 1 5, 1.648, 55.8, 13
1 1 6, 1.502, 61.8, 11


For LaNiO3, the GGA+U geometry in the Materials Project gives the calculated powder diffractogram in this record (a wavelength of 1.5418 Å).

Structure:
Lattice parameters (Å, degrees): 3.8570 3.8570 3.8570 90.00 90.00 90.00
Space group Pm-3m (No. 221)
One atom of each set of equivalent atoms:
La: 0.0000 0.0000 0.0000
Ni: 0.5000 0.5000 0.5000
O: 0.0000 0.5000 0.5000

Principal peaks in the range 10° ≤ 2θ ≤ 80°, in order of rising 2θ:
hkl, d/Å, two_theta, I (rel.)
1 0 0, 3.857, 23.1, 10
1 1 0, 2.727, 32.8, 100
1 1 1, 2.227, 40.5, 16
2 0 0, 1.928, 47.1, 32
2 1 0, 1.725, 53.1, 5
2 1 1, 1.575, 58.6, 38
2 2 0, 1.364, 68.9, 19
3 0 0, 1.286, 73.7, 3
3 1 0, 1.220, 78.4, 16


For BaFe2P4O14, the GGA+U geometry in the Materials Project gives the calculated powder diffractogram in this record (a wavelength of 1.5418 Å).

Structure:
Lattice parameters (Å, degrees): 6.2666 6.3283 8.0035 96.37 101.20 105.93
Space group P-1 (No. 2)
One atom of each set of equivalent atoms:
Ba: 0.0000 0.0000 0.0000
Fe: 0.3764 0.6914 0.2297
P: 0.1846 0.4676 0.8083
P: 0.4801 0.2448 0.3347
O: 0.0635 0.6737 0.2654
O: 0.2186 0.6419 0.9687
O: 0.2618 0.6066 0.6609
O: 0.3148 0.3606 0.2419
O: 0.3287 0.3075 0.8399
O: 0.4282 0.0181 0.2186
O: 0.4709 0.2327 0.5205

Principal peaks in the range 10° ≤ 2θ ≤ 80°, in order of rising 2θ:
hkl, d/Å, two_theta, I (rel.)
0 0 1, 7.731, 11.4, 96
1 0 -1, 5.308, 16.7, 100
0 1 1, 4.381, 20.3, 37
-1 1 1, 4.321, 20.6, 37
1 0 1, 4.216, 21.1, 29
1 0 -2, 3.644, 24.4, 31
1 -2 0, 3.075, 29.0, 92
0 1 2, 3.018, 29.6, 96
0 2 -1, 2.978, 30.0, 75
1 0 2, 2.926, 30.6, 35


For LiFe3P3H2O12, the GGA+U geometry in the Materials Project gives the calculated powder diffractogram in this record (a wavelength of 1.5418 Å).

Structure:
Lattice parameters (Å, degrees): 11.8843 12.6126 6.5665 90.00 114.18 90.00
Space group C2/c (No. 15)
One atom of each set of equivalent atoms:
Li: 0.0000 0.0013 0.2500
Fe: 0.0000 0.2881 0.2500
Fe: 0.2086 0.1632 0.1200
P: 0.0000 0.3227 0.7500
P: 0.2076 0.1085 0.6036
H: 0.1250 0.4953 0.3128
O: 0.0349 0.2534 0.9641
O: 0.1103 0.3946 0.7691
O: 0.1376 0.0028 0.5761
O: 0.1503 0.4141 0.3495
O: 0.1512 0.1712 0.3809
O: 0.2081 0.1755 0.7980

Principal peaks in the range 10° ≤ 2θ ≤ 80°, in order of rising 2θ:
hkl, d/Å, two_theta, I (rel.)
0 2 0, 6.306, 14.0, 90
2 0 0, 5.421, 16.4, 30
3 1 0, 3.474, 25.6, 39
1 1 -2, 3.147, 28.4, 100
3 3 0, 2.741, 32.7, 63
2 4 0, 2.726, 32.9, 49
1 3 -2, 2.570, 34.9, 33
4 2 0, 2.490, 36.1, 30
3 1 -3, 2.131, 42.4, 27
2 0 -4, 1.625, 56.7, 27


For Li4Ti3Mn2Cr3O16, the GGA+U geometry in the Materials Project gives the calculated powder diffractogram in this record (a wavelength of 1.5418 Å).

Structure:
Lattice parameters (Å, degrees): 10.1964 5.9409 9.5824 90.00 91.53 90.00
Space group Cm (No. 8)
One atom of each set of equivalent atoms:
Li: 0.0000 0.0000 0.0000
Li: 0.0041 0.0000 0.4986
Li: 0.1777 0.5000 0.4002
Li: 0.3471 0.0000 0.9028
Ti: 0.0998 0.2513 0.7189
Ti: 0.1723 0.0000 0.2121
Mn: 0.1784 0.5000 0.9939
Mn: 0.3462 0.0000 0.4838
Cr: 0.3408 0.5000 0.7118
Cr: 0.4210 0.2466 0.2195
O: 0.0104 0.0000 0.3156
O: 0.0147 0.0000 0.8126
O: 0.0353 0.5000 0.8455
O: 0.0903 0.2390 0.1082
O: 0.1688 0.5000 0.6074
O: 0.1742 0.0000 0.6049
O: 0.2526 0.2736 0.8360
O: 0.2692 0.2155 0.3504
O: 0.3347 0.0000 0.1097
O: 0.3414 0.5000 0.1039
O: 0.4301 0.2477 0.6027
O: 0.4883 0.0000 0.3473

Principal peaks in the range 10° ≤ 2θ ≤ 80°, in order of rising 2θ:
hkl, d/Å, two_theta, I (rel.)
0 0 2, 4.790, 18.5, 100
2 0 -1, 4.550, 19.5, 100
1 1 1, 4.499, 19.7, 60
2 0 1, 4.450, 20.0, 38
0 2 2, 2.524, 35.6, 36
3 1 2, 2.486, 36.1, 60
4 0 -2, 2.275, 39.6, 38
2 2 -3, 2.014, 45.0, 42
2 2 3, 1.987, 45.6, 38
6 2 0, 1.475, 63.0, 50


For Mo3P2PbO14, the GGA+U geometry in the Materials Project gives the calculated powder diffractogram in this record (a wavelength of 1.5418 Å).

Structure:
Lattice parameters (Å, degrees): 8.5739 6.5277 10.8428 90.00 112.98 90.00
Space group P2_1/m (No. 11)
One atom of each set of equivalent atoms:
Mo: 0.1659 0.2500 0.1239
Mo: 0.2440 0.7500 0.5108
Mo: 0.2541 0.7500 0.8316
P: 0.1209 0.2500 0.8011
P: 0.1551 0.2500 0.4360
Pb: 0.4939 0.2500 0.7615
O: 0.0342 0.7500 0.3307
O: 0.0405 0.7500 0.6188
O: 0.0575 0.7500 0.8880
O: 0.0632 0.2500 0.9195
O: 0.2235 0.2500 0.3243
O: 0.2299 0.0631 0.5291
O: 0.2384 0.0645 0.8088
O: 0.2850 0.0255 0.1377
O: 0.3687 0.7500 0.7038
O: 0.3962 0.7500 0.4437
O: 0.4247 0.7500 0.9850

Principal peaks in the range 10° ≤ 2θ ≤ 80°, in order of rising 2θ:
hkl, d/Å, two_theta, I (rel.)
1 0 -2, 5.248, 16.9, 25
1 1 1, 4.100, 21.7, 93
2 1 -1, 3.583, 24.8, 100
2 1 0, 3.374, 26.4, 28
0 0 3, 3.327, 26.8, 38
0 2 0, 3.264, 27.3, 99
2 0 -3, 3.243, 27.5, 25
0 1 3, 2.964, 30.1, 42
2 1 1, 2.917, 30.6, 32
3 2 0, 2.049, 44.2, 26